Theoretical powder XRD pattern of LiMnPO4 for CuKα, from DFT lattice parameters and positions (GGA+U).

```
data_LiMnPO4
_chemical_formula_sum 'Li4 Mn4 P4 O16'
_space_group_name_H-M_alt 'P 1 c 1'
_space_group_IT_number 7
_cell_length_a 8.241
_cell_length_b 5.334
_cell_length_c 8.606
_cell_angle_alpha 90.00
_cell_angle_beta 106.00
_cell_angle_gamma 90.00
loop_
_space_group_symop_operation_xyz
'x,y,z'
'x,-y,z+1/2'
loop_
_atom_site_label
_atom_site_fract_x
_atom_site_fract_y
_atom_site_fract_z
Li1 0.000 0.161 0.000
Li2 0.493 0.324 0.669
Mn1 0.092 0.340 0.358
Mn2 0.620 0.176 0.055
P1 0.382 0.175 0.293
P2 0.871 0.320 0.624
O1 0.003 0.300 0.792
O2 0.201 0.185 0.175
O3 0.358 0.301 0.450
O4 0.450 0.097 0.831
O5 0.508 0.324 0.224
O6 0.706 0.187 0.630
O7 0.841 0.392 0.088
O8 0.940 0.197 0.491
```

Main lines, low angle first (5 to 70 degrees two-theta):
19.81°, intensity 40
20.07°, intensity 41
21.32°, intensity 54
24.23°, intensity 100
26.52°, intensity 19
26.93°, intensity 51
31.46°, intensity 39
33.60°, intensity 31
45.57°, intensity 19
58.77°, intensity 21